No. 1
Starting from a structure optimized by DFT (PBE), the PXRD pattern of ReHgAs was simulated for a wavelength of 1.5418 Å.
Lines closer than 0.1° are merged.

Most intense lines, 5° ≤ 2θ ≤ 70°, by angle:
2θ = 12.43°, intensity 26
2θ = 25.02°, intensity 13
2θ = 33.87°, intensity 7
2θ = 36.21°, intensity 100
2θ = 37.92°, intensity 20
2θ = 42.57°, intensity 58
2θ = 51.74°, intensity 14
2θ = 60.60°, intensity 21
2θ = 62.93°, intensity 18
2θ = 66.60°, intensity 5

Structure:
Cell: 3.0560 3.0560 7.1188 Å, 90.00 90.00 120.00°
Atoms (fractional coordinates):
Re  0.0000  0.0000  0.0000
Hg  0.6667  0.3333  0.6598
As  0.3333  0.6667  0.2460


No. 2
Starting from a structure optimized by DFT (PBE), the PXRD pattern of BeGe was simulated for a wavelength of 1.5418 Å.
Lines closer than 0.1° are merged.

Most intense lines, 5° ≤ 2θ ≤ 70°, by angle:
2θ = 25.39°, intensity 49
2θ = 33.56°, intensity 100
2θ = 33.77°, intensity 10
2θ = 44.07°, intensity 11
2θ = 44.64°, intensity 6
2θ = 50.19°, intensity 31
2θ = 51.54°, intensity 19
2θ = 51.90°, intensity 14
2θ = 52.09°, intensity 20
2θ = 64.92°, intensity 7

Structure:
Cell: 4.0657 4.0657 4.0595 Å, 90.00 90.00 119.28°
Atoms (fractional coordinates):
Be  0.2500  0.2500  0.0000
Be  0.7500  0.7500  0.0000
Ge  0.2500  0.7500  0.6931
Ge  0.7500  0.2500  0.3069


No. 3
Starting from a structure optimized by DFT (PBE), the PXRD pattern of AcCuSi2Pt2 was simulated for a wavelength of 1.5418 Å.
Lines closer than 0.1° are merged.

Most intense lines, 5° ≤ 2θ ≤ 70°, by angle:
2θ = 12.28°, intensity 5
2θ = 27.20°, intensity 100
2θ = 34.84°, intensity 98
2θ = 37.44°, intensity 20
2θ = 42.53°, intensity 66
2θ = 51.22°, intensity 19
2θ = 56.11°, intensity 25
2θ = 56.91°, intensity 22
2θ = 57.94°, intensity 35
2θ = 68.71°, intensity 16

Structure:
Cell: 4.2508 4.2508 7.2053 Å, 90.00 90.00 120.00°
Atoms (fractional coordinates):
Ac  0.0000  0.0000  0.0000
Cu  0.0000  0.0000  0.5000
Si  0.3333  0.6667  0.6946
Si  0.6667  0.3333  0.3054
Pt  0.3333  0.6667  0.3397
Pt  0.6667  0.3333  0.6603